# K2MgZn3Cd12
Simulated PXRD pattern, Cu Kα (weighted mean of Kα1 and Kα2). Input: a DFT-relaxed cell (GGA-PBE, Alexandria).
Intensities are scaled so that the largest is 100.

Top 12 peaks for 2θ from 10° to 90°, in order of rising 2θ:
d [Å]  2θ/deg  I/Imax
7.766  11.39  31
6.506  13.61  58
4.393  20.21  57
4.107  21.64  29
3.703  24.04  33
3.253  27.42  100
2.589  34.65  41
2.420  37.16  68
2.411  37.29  34
2.197  41.09  63
2.158  41.86  42
2.085  43.40  35

Structural model:
a b c (Å): 8.8622 8.8622 8.8622
angles (deg): 66.20 66.20 66.20
Fractional positions:
K 0.0931 0.0931 0.0931
K 0.9069 0.9069 0.9069
Mg 0.5000 0.5000 0.5000
Zn 0.0000 0.5000 0.5000
Zn 0.5000 0.0000 0.5000
Zn 0.5000 0.5000 0.0000
Cd 0.1392 0.6338 0.6338
Cd 0.1629 0.1629 0.5088
Cd 0.1629 0.5088 0.1629
Cd 0.3662 0.3662 0.8608
Cd 0.3662 0.8608 0.3662
Cd 0.4912 0.8371 0.8371
Cd 0.5088 0.1629 0.1629
Cd 0.6338 0.1392 0.6338
Cd 0.6338 0.6338 0.1392
Cd 0.8371 0.4912 0.8371
Cd 0.8371 0.8371 0.4912
Cd 0.8608 0.3662 0.3662